1.
Calculated X-ray diffraction stick pattern
Compound: TiMnO3
Radiation: Cu Kα (weighted mean of Kα1 and Kα2)
Structure: a crystal structure in the Materials Project, relaxed with GGA+U
No peak broadening, texture or thermal motion is included.

Crystal structure
Cell lengths 5.2514, 5.2514, 5.5588 Å; angles 118.09, 118.09, 60.05 degrees
Atoms (fractional coordinates):
Ti1 0.2504 0.7496 0.5000
Ti2 0.7496 0.2504 0.0000
Mn1 0.4720 0.9721 0.1660
Mn2 0.9721 0.4720 0.6660
O1 0.0298 0.1326 0.8172
O2 0.1326 0.0298 0.3172
O3 0.4057 0.5304 0.8161
O4 0.5304 0.4057 0.3161
O5 0.6323 0.9057 0.8147
O6 0.9057 0.6323 0.3147

Principal peaks in the range 2θ = 15–90°, most intense first:
d [Å]  2θ (°)  I_rel
2.773  32.3  100.0
2.626  34.1  66.7
1.907  47.7  45.6
1.543  59.9  33.4
1.516  61.1  28.6
1.744  52.5  28.2
2.289  39.4  18.7
3.814  23.3  15.6
1.633  56.3  14.7
1.187  81.0  10.4

2.
Calculated X-ray diffraction stick pattern
Compound: CaPrZrFeO6
Radiation: Cu Kα (weighted mean of Kα1 and Kα2)
Structure: a crystal structure in the Materials Project, relaxed with GGA+U
No peak broadening, texture or thermal motion is included.

Crystal structure
Cell lengths 5.7157, 5.7157, 5.7157 Å; angles 60.00, 60.00, 60.00 degrees
Atoms (fractional coordinates):
Ca1 0.0000 0.0000 0.0000
Pr1 0.5000 0.5000 0.5000
Zr1 0.7500 0.7500 0.7500
Fe1 0.2500 0.2500 0.2500
O1 0.0053 0.0053 0.4947
O2 0.0053 0.4947 0.0053
O3 0.0053 0.4947 0.4947
O4 0.4947 0.0053 0.0053
O5 0.4947 0.0053 0.4947
O6 0.4947 0.4947 0.0053

Principal peaks in the range 2θ = 15–90°, most intense first:
d [Å]  2θ (°)  I_rel
2.858  31.3  100.0
1.650  55.7  38.5
2.021  44.9  36.2
4.667  19.0  25.9
1.429  65.3  21.1
1.278  74.2  16.3
2.437  36.9  15.6
1.854  49.1  7.3
1.167  82.7  6.8
2.333  38.6  6.8